Entry 1:
YS: computed PXRD pattern (Cu Kα), based on a DFT-relaxed cell (GGA-PBE, the Materials Project).
Intensities are scaled so that the largest is 100.

Principal peaks in the range 2θ from 15° to 90°, by intensity:
- 33.19°, I 100
- 34.26°, I 96
- 31.43°, I 70
- 47.93°, I 50
- 37.75°, I 47
- 26.50°, I 44
- 25.03°, I 37
- 33.58°, I 36
- 48.45°, I 34
- 47.64°, I 34

Atomic structure:
Cell: 11.0109 11.0109 11.0109 Å, 160.03 160.03 28.38°
Sites, in units of the cell vectors:
1 Y 0.1963 0.1963 0.0000
2 Y 0.8037 0.8037 0.0000
3 S 0.3270 0.3270 0.0000
4 S 0.6730 0.6730 0.0000

---

Entry 2:
Y2ZrS5: computed PXRD pattern (Cu Kα), based on a DFT-relaxed cell (GGA-PBE, the Materials Project).
Intensities are scaled so that the largest is 100.

Principal peaks in the range 2θ from 15° to 90°, by intensity:
- 37.24°, I 100
- 26.07°, I 92
- 27.63°, I 60
- 47.27°, I 58
- 27.14°, I 55
- 24.48°, I 48
- 34.97°, I 45
- 46.79°, I 45
- 38.72°, I 40
- 34.67°, I 33

Atomic structure:
Cell: 11.6157 7.7680 7.2719 Å, 90.00 90.00 90.00°
Sites, in units of the cell vectors:
1 Y 0.1790 0.0026 0.0224
2 Y 0.1790 0.4974 0.0224
3 Y 0.3210 0.5026 0.5224
4 Y 0.3210 0.9974 0.5224
5 Y 0.6790 0.0026 0.4776
6 Y 0.6790 0.4974 0.4776
7 Y 0.8210 0.5026 0.9776
8 Y 0.8210 0.9974 0.9776
9 Zr 0.0063 0.7500 0.5777
10 Zr 0.4937 0.2500 0.0777
11 Zr 0.5063 0.7500 0.9223
12 Zr 0.9937 0.2500 0.4223
13 S 0.0022 0.7500 0.9481
14 S 0.0949 0.0371 0.6610
15 S 0.0949 0.4629 0.6610
16 S 0.1817 0.7500 0.3304
17 S 0.2084 0.2500 0.3098
18 S 0.2916 0.7500 0.8098
19 S 0.3183 0.2500 0.8304
20 S 0.4051 0.5371 0.1610
21 S 0.4051 0.9629 0.1610
22 S 0.4978 0.2500 0.4481
23 S 0.5022 0.7500 0.5519
24 S 0.5949 0.0371 0.8390
25 S 0.5949 0.4629 0.8390
26 S 0.6817 0.7500 0.1696
27 S 0.7084 0.2500 0.1902
28 S 0.7916 0.7500 0.6902
29 S 0.8183 0.2500 0.6696
30 S 0.9051 0.5371 0.3390
31 S 0.9051 0.9629 0.3390
32 S 0.9978 0.2500 0.0519

---

Entry 3:
ZnS: computed PXRD pattern (Cu Kα), based on a DFT-relaxed cell (GGA-PBE, the Materials Project).
Intensities are scaled so that the largest is 100.

Principal peaks in the range 2θ from 15° to 90°, by intensity:
- 28.29°, I 100
- 47.18°, I 47
- 55.95°, I 40
- 46.86°, I 24
- 28.60°, I 23
- 47.75°, I 10
- 33.07°, I 9
- 56.27°, I 8
- 87.52°, I 7
- 87.75°, I 7

Atomic structure:
Cell: 3.8531 3.8531 88.1446 Å, 90.00 90.00 120.00°
Sites, in units of the cell vectors:
1 Zn 0.0000 0.0000 0.0000
2 Zn 0.0000 0.0000 0.0714
3 Zn 0.0000 0.0000 0.1429
4 Zn 0.0000 0.0000 0.2500
5 Zn 0.0000 0.0000 0.3571
6 Zn 0.0000 0.0000 0.4643
7 Zn 0.0000 0.0000 0.5714
8 Zn 0.0000 0.0000 0.6786
9 Zn 0.0000 0.0000 0.7857
10 Zn 0.0000 0.0000 0.9286
11 Zn 0.3333 0.6667 0.0357
12 Zn 0.3333 0.6667 0.1786
13 Zn 0.3333 0.6667 0.2857
14 Zn 0.3333 0.6667 0.3928
15 Zn 0.3333 0.6667 0.5000
16 Zn 0.3333 0.6667 0.6071
17 Zn 0.3333 0.6667 0.7143
18 Zn 0.3333 0.6667 0.8214
19 Zn 0.3333 0.6667 0.8929
20 Zn 0.6667 0.3333 0.1071
21 Zn 0.6667 0.3333 0.2143
22 Zn 0.6667 0.3333 0.3214
23 Zn 0.6667 0.3333 0.4286
24 Zn 0.6667 0.3333 0.5357
25 Zn 0.6667 0.3333 0.6428
26 Zn 0.6667 0.3333 0.7500
27 Zn 0.6667 0.3333 0.8571
28 Zn 0.6667 0.3333 0.9643
29 S 0.0000 0.0000 0.0268
30 S 0.0000 0.0000 0.0982
31 S 0.0000 0.0000 0.1696
32 S 0.0000 0.0000 0.2768
33 S 0.0000 0.0000 0.3839
34 S 0.0000 0.0000 0.4911
35 S 0.0000 0.0000 0.5982
36 S 0.0000 0.0000 0.7053
37 S 0.0000 0.0000 0.8125
38 S 0.0000 0.0000 0.9553
39 S 0.3333 0.6667 0.0625
40 S 0.3333 0.6667 0.2053
41 S 0.3333 0.6667 0.3125
42 S 0.3333 0.6667 0.4196
43 S 0.3333 0.6667 0.5268
44 S 0.3333 0.6667 0.6339
45 S 0.3333 0.6667 0.7411
46 S 0.3333 0.6667 0.8482
47 S 0.3333 0.6667 0.9196
48 S 0.6667 0.3333 0.1339
49 S 0.6667 0.3333 0.2411
50 S 0.6667 0.3333 0.3482
51 S 0.6667 0.3333 0.4553
52 S 0.6667 0.3333 0.5625
53 S 0.6667 0.3333 0.6696
54 S 0.6667 0.3333 0.7768
55 S 0.6667 0.3333 0.8839
56 S 0.6667 0.3333 0.9911

---

Entry 4:
ZnS: computed PXRD pattern (Cu Kα), based on a DFT-relaxed cell (GGA-PBE, the Materials Project).
Intensities are scaled so that the largest is 100.

Principal peaks in the range 2θ from 15° to 90°, by intensity:
- 28.07°, I 100
- 46.91°, I 93
- 28.51°, I 91
- 55.82°, I 64
- 28.63°, I 51
- 46.80°, I 38
- 87.12°, I 26
- 48.21°, I 23
- 27.90°, I 16
- 55.55°, I 16

Atomic structure:
Cell: 56.3691 56.3691 56.3691 Å, 3.94 3.94 3.94°
Sites, in units of the cell vectors:
1 Zn 0.0000 0.0000 0.0000
2 Zn 0.0370 0.0370 0.0370
3 Zn 0.0926 0.0926 0.0926
4 Zn 0.1296 0.1296 0.1296
5 Zn 0.1852 0.1852 0.1852
6 Zn 0.2407 0.2407 0.2407
7 Zn 0.2963 0.2963 0.2963
8 Zn 0.3519 0.3519 0.3519
9 Zn 0.4074 0.4074 0.4074
10 Zn 0.4815 0.4815 0.4815
11 Zn 0.5370 0.5370 0.5370
12 Zn 0.5926 0.5926 0.5926
13 Zn 0.6482 0.6482 0.6482
14 Zn 0.7222 0.7222 0.7222
15 Zn 0.7778 0.7778 0.7778
16 Zn 0.8333 0.8333 0.8333
17 Zn 0.8889 0.8889 0.8889
18 Zn 0.9444 0.9444 0.9444
19 S 0.0232 0.0232 0.0232
20 S 0.0787 0.0787 0.0787
21 S 0.1158 0.1158 0.1158
22 S 0.1713 0.1713 0.1713
23 S 0.2269 0.2269 0.2269
24 S 0.2824 0.2824 0.2824
25 S 0.3380 0.3380 0.3380
26 S 0.3935 0.3935 0.3935
27 S 0.4676 0.4676 0.4676
28 S 0.5232 0.5232 0.5232
29 S 0.5787 0.5787 0.5787
30 S 0.6343 0.6343 0.6343
31 S 0.7084 0.7084 0.7084
32 S 0.7639 0.7639 0.7639
33 S 0.8195 0.8195 0.8195
34 S 0.8750 0.8750 0.8750
35 S 0.9306 0.9306 0.9306
36 S 0.9861 0.9861 0.9861